No. 1
Structure and simulated X-ray diffraction stick pattern of Ga4Fe3 (the PBE geometry in the Materials Project; CuKα).
Neutral-atom scattering factors, no anomalous dispersion.

Principal peaks in the range 15° ≤ 2θ ≤ 90°, most intense first:
44.3°, d = 2.046 Å, I 100
43.1°, d = 2.100 Å, I 52
42.3°, d = 2.136 Å, I 43
43.4°, d = 2.087 Å, I 27
44.8°, d = 2.024 Å, I 27
36.3°, d = 2.472 Å, I 17
47.4°, d = 1.916 Å, I 13
76.0°, d = 1.252 Å, I 12

Atomic structure:
```
Ga4Fe3
1.0
5.032 -3.833 0.000
5.032 3.833 0.000
-2.178 0.000 7.533
Ga Fe
12 9
Direct
0.041 0.041 0.347 Ga
0.166 0.538 0.449 Ga
0.189 0.596 0.849 Ga
0.270 0.270 0.083 Ga
0.404 0.811 0.151 Ga
0.462 0.834 0.551 Ga
0.538 0.166 0.449 Ga
0.596 0.189 0.849 Ga
0.730 0.730 0.917 Ga
0.811 0.404 0.151 Ga
0.834 0.462 0.551 Ga
0.959 0.959 0.653 Ga
0.000 0.000 0.000 Fe
0.066 0.662 0.152 Fe
0.224 0.224 0.641 Fe
0.338 0.934 0.848 Fe
0.495 0.495 0.311 Fe
0.505 0.505 0.689 Fe
0.662 0.066 0.152 Fe
0.776 0.776 0.359 Fe
0.934 0.338 0.848 Fe
```

=====

No. 2
Structure and simulated X-ray diffraction stick pattern of GaFeGe (the PBE geometry in the Materials Project; CuKα).
Neutral-atom scattering factors, no anomalous dispersion.

Principal peaks in the range 15° ≤ 2θ ≤ 90°, most intense first:
47.3°, d = 1.922 Å, I 100
44.8°, d = 2.024 Å, I 73
37.1°, d = 2.420 Å, I 68
39.6°, d = 2.276 Å, I 66
36.1°, d = 2.487 Å, I 59
47.6°, d = 1.909 Å, I 57
75.6°, d = 1.258 Å, I 53
39.7°, d = 2.270 Å, I 48

Atomic structure:
```
GaFeGe
1.0
0.000 4.347 7.986
2.540 0.000 7.986
2.540 4.347 0.000
Ga Fe Ge
4 4 4
Direct
0.040 0.040 0.210 Ga
0.210 0.210 0.040 Ga
0.790 0.790 0.960 Ga
0.960 0.960 0.790 Ga
0.247 0.247 0.503 Fe
0.497 0.497 0.753 Fe
0.503 0.503 0.247 Fe
0.753 0.753 0.497 Fe
0.213 0.537 0.213 Ge
0.463 0.787 0.463 Ge
0.537 0.213 0.537 Ge
0.787 0.463 0.787 Ge
```

=====

No. 3
Structure and simulated X-ray diffraction stick pattern of HfGa6Fe6 (the PBE geometry in the Materials Project; CuKα).
Neutral-atom scattering factors, no anomalous dispersion.

Principal peaks in the range 15° ≤ 2θ ≤ 90°, most intense first:
42.3°, d = 2.139 Å, I 100
42.1°, d = 2.146 Å, I 78
36.2°, d = 2.485 Å, I 74
41.9°, d = 2.157 Å, I 56
43.1°, d = 2.101 Å, I 52
42.6°, d = 2.123 Å, I 49
78.3°, d = 1.220 Å, I 48
47.4°, d = 1.919 Å, I 43

Atomic structure:
```
HfGa6Fe6
1.0
-2.494 4.202 4.298
2.494 -4.202 4.298
2.494 4.202 -4.298
Hf Ga Fe
1 6 6
Direct
0.000 0.000 0.000 Hf
0.173 0.673 0.500 Ga
0.331 0.000 0.331 Ga
0.341 0.341 0.000 Ga
0.659 0.659 0.000 Ga
0.669 0.000 0.669 Ga
0.827 0.327 0.500 Ga
0.000 0.000 0.500 Fe
0.000 0.500 0.000 Fe
0.244 0.500 0.744 Fe
0.500 0.000 0.000 Fe
0.500 0.500 0.500 Fe
0.756 0.500 0.256 Fe
```

=====

No. 4
Structure and simulated X-ray diffraction stick pattern of Hf6Ga2Fe (the PBE geometry in the Materials Project; CuKα).
Neutral-atom scattering factors, no anomalous dispersion.

Principal peaks in the range 15° ≤ 2θ ≤ 90°, most intense first:
35.7°, d = 2.516 Å, I 100
35.1°, d = 2.553 Å, I 71
38.2°, d = 2.358 Å, I 50
40.0°, d = 2.252 Å, I 31
66.7°, d = 1.402 Å, I 27
67.7°, d = 1.384 Å, I 21
56.5°, d = 1.628 Å, I 20
44.9°, d = 2.018 Å, I 17

Atomic structure:
```
Hf6Ga2Fe
1.0
7.801 0.000 0.000
-3.900 6.756 0.000
0.000 0.000 3.292
Hf Ga Fe
6 2 1
Direct
0.000 0.251 0.000 Hf
0.000 0.603 0.500 Hf
0.251 0.000 0.000 Hf
0.397 0.397 0.500 Hf
0.603 0.000 0.500 Hf
0.749 0.749 0.000 Hf
0.333 0.667 0.000 Ga
0.667 0.333 0.000 Ga
0.000 0.000 0.500 Fe
```

=====

No. 5
Structure and simulated X-ray diffraction stick pattern of Ho2Ga8Fe (the PBE geometry in the Materials Project; CuKα).
Neutral-atom scattering factors, no anomalous dispersion.

Principal peaks in the range 15° ≤ 2θ ≤ 90°, most intense first:
38.7°, d = 2.328 Å, I 100
42.6°, d = 2.123 Å, I 60
34.0°, d = 2.639 Å, I 59
60.4°, d = 1.532 Å, I 30
75.3°, d = 1.262 Å, I 27
40.8°, d = 2.213 Å, I 24
20.9°, d = 4.246 Å, I 23
61.8°, d = 1.501 Å, I 20

Atomic structure:
```
Ho2Ga8Fe
1.0
4.246 0.000 0.000
0.000 4.246 0.000
0.000 0.000 11.066
Ho Ga Fe
2 8 1
Direct
0.000 0.000 0.195 Ho
0.000 0.000 0.805 Ho
0.000 0.500 0.000 Ga
0.000 0.500 0.385 Ga
0.000 0.500 0.615 Ga
0.500 0.000 0.000 Ga
0.500 0.000 0.385 Ga
0.500 0.000 0.615 Ga
0.500 0.500 0.200 Ga
0.500 0.500 0.800 Ga
0.000 0.000 0.500 Fe
```

=====

No. 6
Structure and simulated X-ray diffraction stick pattern of Ho2Ga3Fe (the PBE geometry in the Materials Project; CuKα).
Neutral-atom scattering factors, no anomalous dispersion.

Principal peaks in the range 15° ≤ 2θ ≤ 90°, most intense first:
34.9°, d = 2.573 Å, I 100
34.6°, d = 2.589 Å, I 90
41.3°, d = 2.184 Å, I 64
41.9°, d = 2.155 Å, I 45
34.0°, d = 2.636 Å, I 31
23.7°, d = 3.749 Å, I 31
34.3°, d = 2.616 Å, I 28
33.7°, d = 2.656 Å, I 21

Atomic structure:
```
Ho2Ga3Fe
1.0
10.332 0.000 0.000
0.000 4.310 0.000
-4.817 0.000 5.231
Ho Ga Fe
4 6 2
Direct
0.000 0.000 0.000 Ho
0.086 0.000 0.584 Ho
0.500 0.500 0.000 Ho
0.586 0.500 0.584 Ho
0.191 0.500 0.975 Ga
0.216 0.500 0.421 Ga
0.377 0.000 0.193 Ga
0.691 0.000 0.975 Ga
0.716 0.000 0.421 Ga
0.877 0.500 0.193 Ga
0.377 0.000 0.580 Fe
0.877 0.500 0.580 Fe
```

=====

No. 7
Structure and simulated X-ray diffraction stick pattern of LaGa8Fe2 (the PBE geometry in the Materials Project; CuKα).
Neutral-atom scattering factors, no anomalous dispersion.

Principal peaks in the range 15° ≤ 2θ ≤ 90°, most intense first:
36.2°, d = 2.479 Å, I 100
45.1°, d = 2.012 Å, I 62
34.3°, d = 2.611 Å, I 60
44.3°, d = 2.046 Å, I 35
36.8°, d = 2.443 Å, I 30
46.8°, d = 1.940 Å, I 24
44.0°, d = 2.058 Å, I 24
44.5°, d = 2.036 Å, I 23

Atomic structure:
```
LaGa8Fe2
1.0
12.595 0.000 0.000
0.000 14.272 0.000
0.000 0.000 4.023
La Ga Fe
4 32 8
Direct
0.158 0.181 0.000 La
0.342 0.681 0.000 La
0.658 0.319 0.000 La
0.842 0.819 0.000 La
0.000 0.000 0.000 Ga
0.000 0.500 0.500 Ga
0.025 0.866 0.500 Ga
0.049 0.318 0.500 Ga
0.098 0.746 0.000 Ga
0.163 0.454 0.000 Ga
0.164 0.621 0.500 Ga
0.168 0.010 0.500 Ga
0.239 0.826 0.500 Ga
0.261 0.326 0.500 Ga
0.332 0.510 0.500 Ga
0.336 0.121 0.500 Ga
0.337 0.954 0.000 Ga
0.402 0.246 0.000 Ga
0.451 0.818 0.500 Ga
0.475 0.366 0.500 Ga
0.500 0.000 0.500 Ga
0.500 0.500 0.000 Ga
0.525 0.634 0.500 Ga
0.549 0.182 0.500 Ga
0.598 0.754 0.000 Ga
0.663 0.046 0.000 Ga
0.664 0.879 0.500 Ga
0.668 0.490 0.500 Ga
0.739 0.674 0.500 Ga
0.761 0.174 0.500 Ga
0.832 0.990 0.500 Ga
0.836 0.379 0.500 Ga
0.837 0.546 0.000 Ga
0.902 0.254 0.000 Ga
0.951 0.682 0.500 Ga
0.975 0.134 0.500 Ga
0.034 0.591 0.000 Fe
0.153 0.903 0.000 Fe
0.347 0.403 0.000 Fe
0.466 0.091 0.000 Fe
0.534 0.909 0.000 Fe
0.653 0.597 0.000 Fe
0.847 0.097 0.000 Fe
0.966 0.409 0.000 Fe
```

=====

No. 8
Structure and simulated X-ray diffraction stick pattern of Mg14GaFe (the PBE geometry in the Materials Project; CuKα).
Neutral-atom scattering factors, no anomalous dispersion.

Principal peaks in the range 15° ≤ 2θ ≤ 90°, most intense first:
37.9°, d = 2.375 Å, I 100
33.2°, d = 2.696 Å, I 26
35.8°, d = 2.510 Å, I 25
65.7°, d = 1.422 Å, I 17
49.6°, d = 1.837 Å, I 16
71.3°, d = 1.322 Å, I 12
59.4°, d = 1.556 Å, I 11
72.5°, d = 1.303 Å, I 9

Atomic structure:
```
Mg14GaFe
1.0
10.038 0.000 0.000
0.000 3.119 5.384
0.000 -3.119 5.384
Mg Ga Fe
14 1 1
Direct
0.000 0.000 0.000 Mg
0.000 0.003 0.500 Mg
0.000 0.499 0.499 Mg
0.000 0.500 0.003 Mg
0.250 0.666 0.666 Mg
0.260 0.162 0.162 Mg
0.269 0.166 0.678 Mg
0.269 0.678 0.166 Mg
0.500 0.498 0.996 Mg
0.500 0.996 0.498 Mg
0.731 0.166 0.678 Mg
0.731 0.678 0.166 Mg
0.740 0.162 0.162 Mg
0.750 0.666 0.666 Mg
0.500 0.504 0.504 Ga
0.500 0.001 0.001 Fe
```